Entry 1:
Computed X-ray powder pattern
Compound: Na2DyB2O6
Radiation: a wavelength of 1.5418 Å
Structure: DFT lattice parameters and positions (GGA-PBE)

Largest 8 diffraction maxima, by intensity, 10 to 80 degrees two-theta:
Position (°2θ), I_rel
24.1, 100.0
14.3, 50.1
34.9, 48.4
19.2, 41.0
41.8, 26.8
33.6, 26.5
54.7, 23.9
36.7, 23.4

Structural model:
```
11
Lattice="5.3312 0.0000 0.0000 -2.6656 4.6170 0.0000 0.0000 0.0000 6.1787" Properties=species:S:1:pos:R:3 pbc="T T T"
Na 0.0000 3.0780 2.1179
Na 2.6656 1.5390 4.0609
Dy 0.0000 0.0000 0.0000
B 0.0000 3.0780 4.8902
B 2.6656 1.5390 1.2886
O -0.4776 1.7873 4.8496
O -0.8789 4.1369 4.8496
O 1.3091 1.3072 1.3291
O 1.3565 3.3097 4.8496
O 3.5446 0.4801 1.3291
O 3.1432 2.8296 1.3291
```

---

Entry 2:
Computed X-ray powder pattern
Compound: NdDyB12
Radiation: a wavelength of 1.5418 Å
Structure: DFT lattice parameters and positions (GGA-PBE)

Largest 8 diffraction maxima, by intensity, 10 to 80 degrees two-theta:
Position (°2θ), I_rel
30.7, 100.0
21.6, 67.7
49.5, 50.0
37.9, 42.1
54.6, 28.0
68.4, 27.8
44.0, 21.4
72.7, 19.8

Structural model:
```
14
Lattice="4.1143 0.0000 0.0000 0.0000 4.1143 0.0000 0.0000 0.0000 8.2320" Properties=species:S:1:pos:R:3 pbc="T T T"
Nd 0.0000 0.0000 0.0000
Dy 0.0000 0.0000 4.1160
B 0.8199 2.0572 2.0731
B 0.8199 2.0572 6.1589
B 2.0572 0.8199 2.0731
B 2.0572 0.8199 6.1589
B 2.0572 2.0572 0.8257
B 2.0572 2.0572 3.3028
B 2.0572 2.0572 4.9293
B 2.0572 2.0572 7.4064
B 2.0572 3.2945 2.0731
B 2.0572 3.2945 6.1589
B 3.2945 2.0572 2.0731
B 3.2945 2.0572 6.1589
```

---

Entry 3:
Computed X-ray powder pattern
Compound: Dy3Ni7B2
Radiation: a wavelength of 1.5418 Å
Structure: DFT lattice parameters and positions (GGA-PBE)

Largest 8 diffraction maxima, by intensity, 10 to 80 degrees two-theta:
Position (°2θ), I_rel
37.5, 100.0
43.7, 75.5
41.5, 57.2
35.3, 39.3
64.8, 36.7
73.5, 23.5
74.7, 20.2
41.0, 18.8

Structural model:
```
24
Lattice="5.0810 0.0000 0.0000 -2.5405 4.4003 0.0000 0.0000 0.0000 14.3175" Properties=species:S:1:pos:R:3 pbc="T T T"
Dy 0.0000 2.9335 0.4574
Dy 0.0000 2.9335 3.5794
Dy 0.0000 2.9335 6.7014
Dy 2.5405 1.4668 7.6162
Dy 2.5405 1.4668 10.7381
Dy 2.5405 1.4668 13.8601
Ni 0.0000 0.0000 0.0000
Ni 0.0000 0.0000 7.1588
Ni 0.0000 1.4570 9.2973
Ni 0.0000 1.4570 12.1790
Ni -1.2787 3.6718 9.2973
Ni -1.2787 3.6718 12.1790
Ni 1.2618 0.7285 2.1385
Ni 1.2618 0.7285 5.0202
Ni 1.2787 3.6718 9.2973
Ni 1.2787 3.6718 12.1790
Ni 3.8192 0.7285 2.1385
Ni 3.8192 0.7285 5.0202
Ni 2.5405 2.9433 2.1385
Ni 2.5405 2.9433 5.0202
B 0.0000 0.0000 3.5794
B 0.0000 0.0000 10.7381
B 0.0000 2.9335 10.7381
B 2.5405 1.4668 3.5794
```

---

Entry 4:
Computed X-ray powder pattern
Compound: Dy3Ni19B10
Radiation: a wavelength of 1.5418 Å
Structure: DFT lattice parameters and positions (GGA-PBE)

Largest 8 diffraction maxima, by intensity, 10 to 80 degrees two-theta:
Position (°2θ), I_rel
41.4, 100.0
40.1, 93.4
38.3, 59.7
35.6, 48.7
48.7, 44.5
47.2, 43.6
37.3, 40.8
37.9, 39.8

Structural model:
```
32
Lattice="6.5808 -4.3658 0.0000 6.5808 4.3658 0.0000 -0.1352 0.0000 5.7764" Properties=species:S:1:pos:R:3 pbc="T T T"
Dy 0.0000 0.0000 0.0000
Dy 4.8429 0.0000 3.5411
Dy 8.1834 0.0000 2.2352
Ni -0.0676 0.0000 2.8882
Ni 3.6643 2.0626 1.7427
Ni 4.7720 2.1844 5.3470
Ni 2.0458 0.0000 4.0568
Ni 2.3609 0.0000 1.5637
Ni 6.1514 2.1039 1.7395
Ni 6.8749 2.1039 4.0368
Ni 4.9580 0.0000 0.7242
Ni 8.2543 2.1844 0.4294
Ni 9.3620 2.0626 4.0337
Ni 3.6643 -2.0626 1.7427
Ni 4.7720 -2.1844 5.3470
Ni 8.0683 0.0000 5.0522
Ni 6.1514 -2.1039 1.7395
Ni 6.8749 -2.1039 4.0368
Ni 10.6654 0.0000 4.2126
Ni 10.9805 0.0000 1.7196
Ni 8.2543 -2.1844 0.4294
Ni 9.3620 -2.0626 4.0337
B 4.9509 2.7720 3.2864
B 3.1029 0.8993 5.6275
B 8.0753 2.7720 2.4900
B 3.1029 -0.8993 5.6275
B 6.5808 1.0192 0.0000
B 6.5808 -1.0192 0.0000
B 9.9234 0.8993 0.1489
B 4.9509 -2.7720 3.2864
B 9.9234 -0.8993 0.1489
B 8.0753 -2.7720 2.4900
```

---

Entry 5:
Computed X-ray powder pattern
Compound: DyNi7B5
Radiation: a wavelength of 1.5418 Å
Structure: DFT lattice parameters and positions (GGA-PBE)

Largest 8 diffraction maxima, by intensity, 10 to 80 degrees two-theta:
Position (°2θ), I_rel
41.0, 100.0
40.8, 96.2
48.0, 94.5
41.7, 84.2
48.3, 83.0
23.9, 61.6
47.8, 52.1
33.3, 50.7

Structural model:
```
13
Lattice="-2.2139 3.8107 3.7249 2.2139 -3.8107 3.7249 2.2139 3.8107 -3.7249" Properties=species:S:1:pos:R:3 pbc="T T T"
Dy 0.0000 0.0000 0.0000
Ni 2.2139 1.5946 -0.3382
Ni 2.2139 0.0000 1.6710
Ni 0.0000 0.0000 2.5422
Ni 0.0000 2.6381 0.1901
Ni 0.0000 0.0000 4.8631
Ni 0.0000 4.9834 0.1901
Ni 0.0000 2.2161 3.3868
B 1.3121 1.9228 1.7686
B 3.1157 1.9228 1.7686
B 0.0000 3.8107 1.9321
B -0.9018 1.8879 5.4935
B 0.9018 1.8879 5.4935
```

---

Entry 6:
Computed X-ray powder pattern
Compound: DyNi10B3
Radiation: a wavelength of 1.5418 Å
Structure: DFT lattice parameters and positions (GGA-PBE)

Largest 8 diffraction maxima, by intensity, 10 to 80 degrees two-theta:
Position (°2θ), I_rel
37.8, 100.0
44.2, 87.6
41.5, 53.8
50.7, 37.2
75.7, 35.1
48.3, 29.1
73.2, 28.4
57.4, 26.7

Structural model:
```
28
Lattice="0.0000 5.3281 5.3281 5.3281 0.0000 5.3281 5.3281 5.3281 0.0000" Properties=species:S:1:pos:R:3 pbc="T T T"
Dy 2.6640 2.6640 2.6640
Dy 7.9921 7.9921 7.9921
Ni 1.7791 1.7791 0.0000
Ni 3.5489 3.5489 0.0000
Ni 1.7791 0.0000 1.7791
Ni 5.3281 3.5489 1.7791
Ni 3.5489 0.0000 3.5489
Ni 5.3281 1.7791 3.5489
Ni 6.5232 4.1329 4.1329
Ni 0.0000 1.7791 1.7791
Ni 3.5489 5.3281 1.7791
Ni 3.5489 1.7791 5.3281
Ni 4.1329 4.1329 4.1329
Ni 6.5232 6.5232 4.1329
Ni 6.5232 4.1329 6.5232
Ni 4.1329 6.5232 4.1329
Ni 4.1329 4.1329 6.5232
Ni 6.5232 6.5232 6.5232
Ni 0.0000 3.5489 3.5489
Ni 1.7791 5.3281 3.5489
Ni 1.7791 3.5489 5.3281
Ni 4.1329 6.5232 6.5232
B 5.3281 5.3281 2.8721
B 5.3281 2.8721 5.3281
B 7.7840 5.3281 5.3281
B 2.8721 5.3281 5.3281
B 5.3281 7.7840 5.3281
B 5.3281 5.3281 7.7840
```

---

Entry 7:
Computed X-ray powder pattern
Compound: Dy4Ni13B4
Radiation: a wavelength of 1.5418 Å
Structure: DFT lattice parameters and positions (GGA-PBE)

Largest 8 diffraction maxima, by intensity, 10 to 80 degrees two-theta:
Position (°2θ), I_rel
40.8, 100.0
32.8, 70.7
46.7, 42.7
37.5, 41.2
43.6, 40.3
33.0, 39.1
33.4, 27.8
65.8, 22.9

Structural model:
```
21
Lattice="5.9833 -6.0803 0.0000 5.9833 6.0803 0.0000 0.0000 0.0000 3.8902" Properties=species:S:1:pos:R:3 pbc="T T T"
Dy 5.9833 3.7711 0.0000
Dy 4.1682 0.0000 0.0000
Dy 7.7984 0.0000 0.0000
Dy 5.9833 -3.7711 0.0000
Ni 0.0000 0.0000 1.9451
Ni 2.9917 3.0401 0.0000
Ni 2.1678 1.2791 1.9451
Ni 1.4656 0.0000 0.0000
Ni 4.7209 2.2482 1.9451
Ni 2.1678 -1.2791 1.9451
Ni 7.2457 2.2482 1.9451
Ni 2.9917 -3.0401 0.0000
Ni 4.7209 -2.2482 1.9451
Ni 9.7989 1.2791 1.9451
Ni 7.2457 -2.2482 1.9451
Ni 10.5010 0.0000 0.0000
Ni 9.7989 -1.2791 1.9451
B 2.9917 3.0401 1.9451
B 5.9833 0.7865 1.9451
B 2.9917 -3.0401 1.9451
B 5.9833 -0.7865 1.9451
```

---

Entry 8:
Computed X-ray powder pattern
Compound: DyNi22B6
Radiation: a wavelength of 1.5418 Å
Structure: DFT lattice parameters and positions (GGA-PBE)

Largest 8 diffraction maxima, by intensity, 10 to 80 degrees two-theta:
Position (°2θ), I_rel
44.5, 100.0
41.8, 34.2
48.7, 23.4
76.4, 22.5
78.3, 14.7
51.9, 13.9
51.1, 10.7
28.0, 10.5

Structural model:
```
29
Lattice="0.0000 5.2889 5.2889 5.2889 0.0000 5.2889 5.2889 5.2889 0.0000" Properties=species:S:1:pos:R:3 pbc="T T T"
Dy 0.0000 0.0000 0.0000
Ni 1.8271 1.8271 0.0000
Ni 3.4619 3.4619 0.0000
Ni 1.8271 0.0000 1.8271
Ni 5.2889 3.4619 1.8271
Ni 3.4619 0.0000 3.4619
Ni 5.2889 1.8271 3.4619
Ni 6.5309 4.0469 4.0469
Ni 2.6445 2.6445 2.6445
Ni 0.0000 1.8271 1.8271
Ni 3.4619 5.2889 1.8271
Ni 3.4619 1.8271 5.2889
Ni 4.0469 4.0469 4.0469
Ni 6.5309 6.5309 4.0469
Ni 6.5309 4.0469 6.5309
Ni 4.0469 6.5309 4.0469
Ni 4.0469 4.0469 6.5309
Ni 6.5309 6.5309 6.5309
Ni 0.0000 3.4619 3.4619
Ni 1.8271 5.2889 3.4619
Ni 1.8271 3.4619 5.2889
Ni 7.9334 7.9334 7.9334
Ni 4.0469 6.5309 6.5309
B 5.2889 5.2889 2.8733
B 5.2889 2.8733 5.2889
B 7.7046 5.2889 5.2889
B 2.8733 5.2889 5.2889
B 5.2889 7.7046 5.2889
B 5.2889 5.2889 7.7046
```

---

Entry 9:
Computed X-ray powder pattern
Compound: DyNi12B6
Radiation: a wavelength of 1.5418 Å
Structure: DFT lattice parameters and positions (GGA-PBE)

Largest 8 diffraction maxima, by intensity, 10 to 80 degrees two-theta:
Position (°2θ), I_rel
41.4, 100.0
41.2, 73.6
39.5, 68.6
31.7, 59.8
34.8, 47.0
44.1, 41.8
61.5, 27.4
32.6, 27.2

Structural model:
```
38
Lattice="4.7807 -3.6812 0.0000 4.7807 3.6812 0.0000 0.0000 0.0000 10.9758" Properties=species:S:1:pos:R:3 pbc="T T T"
Dy 4.7807 2.4527 5.4879
Dy 4.7807 -2.4527 0.0000
Ni 3.0318 2.3156 10.3298
Ni 1.2568 0.0993 8.3343
Ni 1.2568 -0.0993 2.8465
Ni 3.5311 1.2856 8.0929
Ni 3.5291 1.1568 3.0768
Ni 4.7807 2.0872 1.1329
Ni 2.9305 0.2643 0.7872
Ni 2.9305 -0.2643 6.2751
Ni 6.5295 2.3156 10.3298
Ni 4.7807 0.4909 10.1210
Ni 6.0303 1.2856 8.0929
Ni 6.0322 1.1568 3.0768
Ni 3.5291 -1.1568 8.5647
Ni 3.5311 -1.2856 2.6050
Ni 4.7807 -0.4909 4.6331
Ni 3.0318 -2.3156 4.8419
Ni 6.6309 0.2643 0.7872
Ni 6.6309 -0.2643 6.2751
Ni 4.7807 -2.0872 6.6208
Ni 6.0322 -1.1568 8.5647
Ni 6.0303 -1.2856 2.6050
Ni 8.3045 0.0993 8.3343
Ni 8.3045 -0.0993 2.8465
Ni 6.5295 -2.3156 4.8419
B 1.9749 1.4291 6.8744
B 4.7807 2.4766 9.2525
B 2.7189 0.3171 9.7542
B 2.7189 -0.3171 4.2664
B 1.9749 -1.4291 1.3865
B 4.7807 0.0980 1.7502
B 4.7807 -0.0980 7.2381
B 7.5864 1.4291 6.8744
B 6.8424 0.3171 9.7542
B 6.8424 -0.3171 4.2664
B 4.7807 -2.4766 3.7646
B 7.5864 -1.4291 1.3865
```

---

Entry 10:
Computed X-ray powder pattern
Compound: Dy2B4O9
Radiation: a wavelength of 1.5418 Å
Structure: DFT lattice parameters and positions (GGA-PBE)

Largest 8 diffraction maxima, by intensity, 10 to 80 degrees two-theta:
Position (°2θ), I_rel
29.9, 100.0
29.3, 67.8
28.7, 49.3
23.3, 44.5
17.5, 44.5
12.3, 43.4
26.5, 37.9
31.7, 35.0

Structural model:
```
30
Lattice="6.1980 0.0000 0.0000 -1.3846 6.3158 0.0000 -0.9355 -1.8404 7.2174" Properties=species:S:1:pos:R:3 pbc="T T T"
Dy -0.0860 0.0417 2.0691
Dy 1.1190 3.6072 2.5859
Dy 2.7589 0.8681 4.6315
Dy 3.9639 4.4337 5.1483
B -0.3177 1.0527 4.6997
B -0.8079 2.5966 6.6792
B 0.0482 0.3006 7.0847
B 2.6853 0.5701 1.3722
B 1.1926 3.9053 5.8452
B 3.8297 4.1747 0.1327
B 4.6859 1.8787 0.5382
B 4.1956 3.4227 2.5177
O -1.0806 4.9519 0.1332
O -1.1962 2.0155 5.3927
O -1.0602 4.3394 3.2109
O 0.5263 0.2078 5.6999
O 0.8655 3.5290 0.2953
O 0.6930 1.5920 3.7740
O -0.0875 3.8580 6.3329
O 1.7093 1.5178 1.0353
O 2.3019 -0.3272 2.3370
O 1.5760 4.8026 4.8804
O 2.1687 2.9575 6.1821
O 3.9654 0.6174 0.8845
O 3.1849 2.8834 3.4434
O 3.0124 0.9463 6.9221
O 3.3516 4.2676 1.5175
O 4.9381 0.1359 4.0065
O 5.0741 2.4598 1.8247
O 4.9585 -0.4765 7.0842
```